No. 1
Diffraction record for K2PdSe2O8. The XRD peak list is simulated, not measured: it uses a structure optimized by DFT (PBE) and Cu Kα (weighted mean of Kα1 and Kα2).
Lines closer than 0.1° are merged.

Principal peaks in the range 2θ = 10–90°, sorted by position:
two_theta	d (Å)	I (rel.)	hkl
12.35	7.166	59	0 0 1
17.17	5.164	100	0 1 1
25.63	3.476	79	0 1 2
26.57	3.354	57	1 1 -1
26.99	3.303	56	1 -1 0
30.75	2.908	37	1 0 2
31.31	2.857	46	1 2 1
31.41	2.848	28	1 -1 1
39.34	2.291	23	2 0 -1
42.48	2.128	21	1 0 -3

Cell and atoms:
```
K2PdSe2O8
1.0
5.042 0.000 0.000
1.611 5.877 0.000
0.668 1.984 7.166
K Pd Se O
2 1 2 8
Direct
0.233 0.276 0.329
0.767 0.724 0.671
0.000 0.000 0.000
0.411 0.293 0.783
0.589 0.707 0.217
0.235 0.228 0.991
0.261 0.721 0.164
0.296 0.571 0.666
0.391 0.102 0.670
0.609 0.898 0.330
0.704 0.429 0.334
0.739 0.279 0.836
0.765 0.772 0.009
```

---

No. 2
Diffraction record for ZnHgAsHO5. The XRD peak list is simulated, not measured: it uses a structure optimized by DFT (PBE) and Cu Kα (weighted mean of Kα1 and Kα2).
Lines closer than 0.1° are merged.

Principal peaks in the range 2θ = 10–90°, sorted by position:
two_theta	d (Å)	I (rel.)	hkl
17.46	5.080	34	0 1 1
21.01	4.229	35	1 1 1
27.39	3.256	100	2 1 0
28.61	3.121	30	0 2 0
32.65	2.743	48	1 2 1
32.90	2.723	50	1 0 3
34.34	2.611	42	2 1 2
35.99	2.495	45	1 1 3
38.67	2.329	25	2 2 1
56.33	1.633	25	3 2 3

Cell and atoms:
```
ZnHgAsHO5
1.0
7.633 0.000 0.000
0.000 6.241 0.000
0.000 0.000 8.743
Zn Hg As H O
4 4 4 4 20
Direct
0.000 0.000 0.000
0.000 0.500 0.000
0.500 0.000 0.500
0.500 0.500 0.500
0.113 0.250 0.329
0.387 0.750 0.829
0.613 0.250 0.171
0.887 0.750 0.671
0.142 0.250 0.683
0.358 0.750 0.183
0.642 0.250 0.817
0.858 0.750 0.317
0.235 0.750 0.544
0.265 0.250 0.044
0.735 0.750 0.956
0.765 0.250 0.456
0.024 0.750 0.454
0.132 0.018 0.789
0.132 0.482 0.789
0.143 0.250 0.082
0.169 0.750 0.074
0.331 0.250 0.574
0.357 0.750 0.582
0.368 0.518 0.289
0.368 0.982 0.289
0.476 0.250 0.954
0.524 0.750 0.046
0.632 0.018 0.711
0.632 0.482 0.711
0.643 0.250 0.418
0.669 0.750 0.426
0.831 0.250 0.926
0.857 0.750 0.918
0.868 0.518 0.211
0.868 0.982 0.211
0.976 0.250 0.546
```